No. 1
This entry pairs a crystal structure of LiLaNiH6 with its theoretical powder XRD pattern. Radiation: copper Kα. Structure: the PBE geometry in Alexandria.
Intensities are scaled so that the largest is 100.

Peak list (6 most intense, 5° ≤ 2θ ≤ 70°, sorted by position)
| 2theta | I (rel.) |
| --- | --- |
| 22.93 | 39 |
| 30.43 | 100 |
| 40.28 | 30 |
| 51.30 | 23 |
| 58.12 | 21 |
| 67.16 | 20 |

Cell and atoms:
```
LiLaNiH6
1.0
4.478 0.000 0.000
-2.239 3.878 0.000
0.000 0.000 4.499
Li La Ni H
1 1 1 6
direct
0.000 0.000 0.000
0.667 0.333 0.500
0.333 0.667 0.000
0.180 0.361 0.243
0.180 0.361 0.757
0.180 0.820 0.243
0.180 0.820 0.757
0.639 0.820 0.243
0.639 0.820 0.757
```


No. 2
This entry pairs a crystal structure of CdAsRu2 with its theoretical powder XRD pattern. Radiation: copper Kα. Structure: the PBE geometry in Alexandria.
Intensities are scaled so that the largest is 100.

Peak list (6 most intense, 5° ≤ 2θ ≤ 70°, sorted by position)
| 2theta | I (rel.) |
| --- | --- |
| 37.63 | 100 |
| 40.21 | 53 |
| 40.71 | 34 |
| 40.81 | 33 |
| 41.08 | 84 |
| 58.59 | 44 |

Cell and atoms:
```
CdAsRu2
1.0
2.943 0.000 0.000
0.000 4.485 0.000
-1.459 0.000 5.041
Cd As Ru
1 1 2
direct
0.000 0.000 0.000
0.352 0.500 0.704
0.261 0.000 0.518
0.652 0.500 0.301
```


No. 3
This entry pairs a crystal structure of CaPr6Dy2Ho with its theoretical powder XRD pattern. Radiation: copper Kα. Structure: the PBE geometry in Alexandria.
Intensities are scaled so that the largest is 100.

Peak list (6 most intense, 5° ≤ 2θ ≤ 70°, sorted by position)
| 2theta | I (rel.) |
| --- | --- |
| 27.80 | 70 |
| 29.57 | 58 |
| 29.80 | 90 |
| 30.85 | 100 |
| 31.20 | 61 |
| 32.52 | 85 |

Cell and atoms:
```
CaPr6Dy2Ho
1.0
4.640 -7.795 0.000
4.640 7.795 0.000
-1.524 0.000 9.830
Ca Pr Dy Ho
2 12 4 2
direct
0.098 0.902 0.750
0.902 0.098 0.250
0.000 0.211 0.623
0.000 0.789 0.377
0.069 0.526 0.178
0.211 0.000 0.123
0.265 0.614 0.553
0.386 0.735 0.947
0.474 0.931 0.322
0.526 0.069 0.678
0.614 0.265 0.053
0.735 0.386 0.447
0.789 0.000 0.877
0.931 0.474 0.822
0.205 0.303 0.956
0.303 0.205 0.456
0.697 0.795 0.544
0.795 0.697 0.044
0.473 0.527 0.250
0.527 0.473 0.750
```